P3Pd7: calculated XRD peak list (Cu Kα (weighted mean of Kα1 and Kα2)), based on a crystal structure in OQMD, relaxed with GGA-PBE.

```
20
Lattice="6.045 3.490 2.384 -6.045 3.490 2.384 0.000 -6.980 2.384" Properties=species:S:1:pos:R:3 pbc="T T T"
P -4.801 1.580 2.384
P 1.032 -4.948 2.384
P -1.069 -2.012 4.066
P -1.208 1.932 4.066
P 2.277 0.081 4.066
P 3.769 3.368 2.384
Pd -2.165 -1.771 1.947
Pd 0.000 0.000 0.634
Pd -2.576 0.975 2.135
Pd -3.405 -3.194 4.089
Pd 0.444 -2.718 2.135
Pd -0.451 2.760 1.947
Pd -2.698 -0.335 4.750
Pd 2.616 -0.989 1.947
Pd 0.000 0.000 3.464
Pd 2.132 1.743 2.135
Pd 1.639 -2.169 4.750
Pd -1.063 4.545 4.089
Pd 1.059 2.504 4.750
Pd 4.468 -1.352 4.089
```

Largest 10 diffraction maxima, sorted by position, 10 to 90 degrees two-theta:
Position (°2θ)	d_spacing	I/Imax
33.30	2.691	454
33.78	2.653	694
37.73	2.384	283
39.44	2.285	719
39.58	2.277	1000
39.99	2.254	201
40.68	2.218	396
45.49	1.994	344
46.11	1.969	194
71.53	1.319	174



DyYPbC: calculated XRD peak list (Cu Kα (weighted mean of Kα1 and Kα2)), based on a crystal structure in OQMD, relaxed with GGA-PBE.

```
8
Lattice="3.641 0.000 0.000 -1.820 3.153 0.000 0.000 0.000 16.140" Properties=species:S:1:pos:R:3 pbc="T T T"
Dy 0.000 2.102 0.000
Dy 1.820 1.051 8.070
Y 0.000 2.102 5.403
Y 1.820 1.051 13.473
Pb 0.000 2.102 10.773
Pb 1.820 1.051 2.703
C 0.000 0.000 6.741
C 0.000 0.000 14.811
```

Largest 10 diffraction maxima, sorted by position, 10 to 90 degrees two-theta:
Position (°2θ)	d_spacing	I/Imax
10.96	8.070	90
28.31	3.153	222
32.93	2.720	1000
33.31	2.690	205
44.26	2.046	160
50.11	1.820	214
59.28	1.559	187
61.27	1.513	170
61.51	1.508	216
82.99	1.164	147



NdHoAg2As4: calculated XRD peak list (Cu Kα (weighted mean of Kα1 and Kα2)), based on a crystal structure in OQMD, relaxed with GGA-PBE.

```
8
Lattice="4.024 0.000 0.000 0.000 4.024 0.000 0.000 0.000 10.413" Properties=species:S:1:pos:R:3 pbc="T T T"
Nd 0.000 0.000 0.000
Ho 2.012 2.012 4.728
Ag 0.000 2.012 7.510
Ag 2.012 0.000 7.510
As 0.000 0.000 5.574
As 0.000 2.012 2.426
As 2.012 0.000 2.426
As 2.012 2.012 9.438
```

Largest 10 diffraction maxima, sorted by position, 10 to 90 degrees two-theta:
Position (°2θ)	d_spacing	I/Imax
23.70	3.754	123
28.02	3.184	127
34.45	2.603	181
35.97	2.497	1000
41.31	2.186	115
45.05	2.012	306
57.91	1.592	204
62.74	1.481	131
76.24	1.249	110
77.16	1.236	210



NdSm2NbO6: calculated XRD peak list (Cu Kα (weighted mean of Kα1 and Kα2)), based on a crystal structure in OQMD, relaxed with GGA-PBE.

```
10
Lattice="5.711 0.000 0.000 2.617 5.189 0.000 2.628 1.603 4.948" Properties=species:S:1:pos:R:3 pbc="T T T"
Nd 0.000 0.000 0.000
Sm 3.008 1.721 1.256
Sm 7.949 5.071 3.692
Nb 5.478 3.396 2.474
O 4.515 4.940 3.597
O 4.215 1.912 3.304
O 4.214 3.730 0.801
O 6.742 3.062 4.147
O 6.742 4.880 1.644
O 6.442 1.851 1.351
```

Largest 10 diffraction maxima, sorted by position, 10 to 90 degrees two-theta:
Position (°2θ)	d_spacing	I/Imax
29.23	3.055	522
29.57	3.021	1000
30.82	2.901	935
31.37	2.851	288
43.06	2.101	201
43.41	2.085	403
52.04	1.757	213
52.71	1.737	222
52.86	1.732	239
53.96	1.699	157



La3Os: calculated XRD peak list (Cu Kα (weighted mean of Kα1 and Kα2)), based on a crystal structure in OQMD, relaxed with GGA-PBE.

```
16
Lattice="7.472 0.000 0.000 0.000 9.995 0.000 0.000 0.000 6.594" Properties=species:S:1:pos:R:3 pbc="T T T"
La 0.353 2.499 0.969
La 1.280 0.689 4.425
La 1.280 4.308 4.425
La 2.456 5.687 1.128
La 2.456 9.306 1.128
La 3.383 7.496 4.266
La 4.089 2.499 2.328
La 5.016 0.689 5.466
La 5.016 4.308 5.466
La 6.192 5.687 2.169
La 6.192 9.306 2.169
La 7.119 7.496 5.625
Os 0.874 7.496 2.924
Os 2.862 2.499 6.221
Os 4.609 7.496 0.373
Os 6.598 2.499 3.670
```

Largest 10 diffraction maxima, sorted by position, 10 to 90 degrees two-theta:
Position (°2θ)	d_spacing	I/Imax
20.04	4.431	364
29.86	2.992	424
30.05	2.974	604
30.97	2.888	1000
32.40	2.763	820
32.87	2.725	815
36.12	2.487	524
37.48	2.400	400
46.76	1.943	347
55.13	1.666	492



HoErCF2: calculated XRD peak list (Cu Kα (weighted mean of Kα1 and Kα2)), based on a crystal structure in OQMD, relaxed with GGA-PBE.

```
5
Lattice="3.594 0.000 0.000 -1.797 3.112 0.000 0.000 0.000 6.286" Properties=species:S:1:pos:R:3 pbc="T T T"
Ho 0.000 0.000 0.000
Er 0.000 2.075 3.628
C 1.797 1.037 4.955
F 0.000 0.000 2.553
F 0.000 2.075 1.106
```

Largest 10 diffraction maxima, sorted by position, 10 to 90 degrees two-theta:
Position (°2θ)	d_spacing	I/Imax
28.40	3.143	267
28.68	3.112	313
32.09	2.789	1000
40.80	2.212	412
50.81	1.797	300
52.66	1.738	265
59.23	1.560	212
61.37	1.511	164
66.67	1.403	109
83.62	1.156	143